Record 1
Diffraction record for SrP2Ru2. The XRD peak list is calculated, not measured: it uses a structure optimized by DFT (PBE) and a wavelength of 1.5418 Å.
Neutral-atom scattering factors, no anomalous dispersion.

The 10 most intense peaks (2θ from 10° to 90°), in order of rising 2θ:
15.7°, rel. 47
31.7°, rel. 25
32.4°, rel. 35
35.0°, rel. 100
44.6°, rel. 41
45.0°, rel. 18
55.7°, rel. 20
56.2°, rel. 14
58.7°, rel. 33
75.9°, rel. 20

Structure:
abc: 6.330 6.330 6.330
angles: 142.53 142.53 54.04
Sites, in units of the cell vectors:
1 Sr 0.000 0.000 0.000
2 P 0.351 0.351 0.000
3 P 0.649 0.649 0.000
4 Ru 0.250 0.750 0.500
5 Ru 0.750 0.250 0.500


Record 2
Diffraction record for TaPRu. The XRD peak list is calculated, not measured: it uses a structure optimized by DFT (PBE) and a wavelength of 1.5418 Å.
Neutral-atom scattering factors, no anomalous dispersion.

The 10 most intense peaks (2θ from 10° to 90°), in order of rising 2θ:
26.9°, rel. 27
28.2°, rel. 17
37.2°, rel. 28
37.5°, rel. 100
39.3°, rel. 74
40.1°, rel. 41
44.7°, rel. 23
48.7°, rel. 30
64.9°, rel. 20
73.6°, rel. 21

Structure:
abc: 6.336 3.736 7.208
angles: 90.00 90.00 90.00
Sites, in units of the cell vectors:
1 Ta 0.024 0.250 0.171
2 Ta 0.476 0.750 0.671
3 Ta 0.524 0.250 0.329
4 Ta 0.976 0.750 0.829
5 P 0.232 0.750 0.375
6 P 0.268 0.250 0.875
7 P 0.732 0.750 0.125
8 P 0.768 0.250 0.625
9 Ru 0.145 0.250 0.564
10 Ru 0.355 0.750 0.064
11 Ru 0.645 0.250 0.936
12 Ru 0.855 0.750 0.436


Record 3
Diffraction record for TaPRu. The XRD peak list is calculated, not measured: it uses a structure optimized by DFT (PBE) and a wavelength of 1.5418 Å.
Neutral-atom scattering factors, no anomalous dispersion.

The 10 most intense peaks (2θ from 10° to 90°), in order of rising 2θ:
25.9°, rel. 98
30.0°, rel. 2
43.0°, rel. 100
50.9°, rel. 47
53.3°, rel. 1
62.4°, rel. 16
68.8°, rel. 19
70.8°, rel. 1
78.8°, rel. 34
84.6°, rel. 15

Structure:
abc: 4.208 4.208 4.208
angles: 60.00 60.00 60.00
Sites, in units of the cell vectors:
1 Ta 0.000 0.000 0.000
2 P 0.250 0.250 0.250
3 Ru 0.750 0.750 0.750


Record 4
Diffraction record for Tb5P12Ru19. The XRD peak list is calculated, not measured: it uses a structure optimized by DFT (PBE) and a wavelength of 1.5418 Å.
Neutral-atom scattering factors, no anomalous dispersion.

The 10 most intense peaks (2θ from 10° to 90°), in order of rising 2θ:
28.4°, rel. 16
36.4°, rel. 100
37.4°, rel. 25
37.9°, rel. 12
45.6°, rel. 23
46.5°, rel. 8
50.3°, rel. 14
69.4°, rel. 8
70.2°, rel. 11
78.2°, rel. 11

Structure:
abc: 12.557 12.557 3.982
angles: 90.00 90.00 120.00
Sites, in units of the cell vectors:
1 Tb 0.000 0.185 0.000
2 Tb 0.185 0.000 0.000
3 Tb 0.333 0.667 0.500
4 Tb 0.667 0.333 0.500
5 Tb 0.815 0.815 0.000
6 P 0.000 0.373 0.500
7 P 0.000 0.816 0.500
8 P 0.170 0.693 0.000
9 P 0.184 0.184 0.500
10 P 0.307 0.478 0.000
11 P 0.373 0.000 0.500
12 P 0.478 0.307 0.000
13 P 0.522 0.830 0.000
14 P 0.627 0.627 0.500
15 P 0.693 0.170 0.000
16 P 0.816 0.000 0.500
17 P 0.830 0.522 0.000
18 Ru 0.000 0.000 0.500
19 Ru 0.000 0.554 0.500
20 Ru 0.000 0.717 0.000
21 Ru 0.126 0.491 0.000
22 Ru 0.184 0.807 0.500
23 Ru 0.193 0.377 0.500
24 Ru 0.283 0.283 0.000
25 Ru 0.365 0.874 0.000
26 Ru 0.377 0.193 0.500
27 Ru 0.446 0.446 0.500
28 Ru 0.491 0.126 0.000
29 Ru 0.509 0.635 0.000
30 Ru 0.554 0.000 0.500
31 Ru 0.623 0.816 0.500
32 Ru 0.635 0.509 0.000
33 Ru 0.717 0.000 0.000
34 Ru 0.807 0.184 0.500
35 Ru 0.816 0.623 0.500
36 Ru 0.874 0.365 0.000


Record 5
Diffraction record for TbP12Ru4. The XRD peak list is calculated, not measured: it uses a structure optimized by DFT (PBE) and a wavelength of 1.5418 Å.
Neutral-atom scattering factors, no anomalous dispersion.

The 10 most intense peaks (2θ from 10° to 90°), in order of rising 2θ:
15.5°, rel. 21
22.0°, rel. 16
31.3°, rel. 100
35.1°, rel. 46
41.8°, rel. 35
44.9°, rel. 15
50.5°, rel. 25
55.7°, rel. 55
58.2°, rel. 24
74.2°, rel. 21

Structure:
abc: 6.999 6.999 6.999
angles: 109.47 109.47 109.47
Sites, in units of the cell vectors:
1 Tb 0.000 0.000 0.000
2 P 0.143 0.500 0.357
3 P 0.143 0.786 0.643
4 P 0.214 0.357 0.857
5 P 0.357 0.143 0.500
6 P 0.357 0.857 0.214
7 P 0.500 0.357 0.143
8 P 0.500 0.643 0.857
9 P 0.643 0.143 0.786
10 P 0.643 0.857 0.500
11 P 0.786 0.643 0.143
12 P 0.857 0.214 0.357
13 P 0.857 0.500 0.643
14 Ru 0.000 0.000 0.500
15 Ru 0.000 0.500 0.000
16 Ru 0.500 0.000 0.000
17 Ru 0.500 0.500 0.500


Record 6
Diffraction record for ThP12Ru4. The XRD peak list is calculated, not measured: it uses a structure optimized by DFT (PBE) and a wavelength of 1.5418 Å.
Neutral-atom scattering factors, no anomalous dispersion.

The 10 most intense peaks (2θ from 10° to 90°), in order of rising 2θ:
15.5°, rel. 44
27.0°, rel. 25
31.2°, rel. 100
35.1°, rel. 52
41.7°, rel. 46
44.8°, rel. 16
50.4°, rel. 13
55.6°, rel. 55
58.1°, rel. 29
74.1°, rel. 22

Structure:
abc: 7.011 7.011 7.011
angles: 109.47 109.47 109.47
Sites, in units of the cell vectors:
1 Th 0.000 0.000 0.000
2 P 0.144 0.356 0.500
3 P 0.144 0.644 0.788
4 P 0.212 0.856 0.356
5 P 0.356 0.212 0.856
6 P 0.356 0.500 0.144
7 P 0.500 0.144 0.356
8 P 0.500 0.856 0.644
9 P 0.644 0.500 0.856
10 P 0.644 0.788 0.144
11 P 0.788 0.144 0.644
12 P 0.856 0.356 0.212
13 P 0.856 0.644 0.500
14 Ru 0.000 0.000 0.500
15 Ru 0.000 0.500 0.000
16 Ru 0.500 0.000 0.000
17 Ru 0.500 0.500 0.500


Record 7
Diffraction record for Y5P12Ru19. The XRD peak list is calculated, not measured: it uses a structure optimized by DFT (PBE) and a wavelength of 1.5418 Å.
Neutral-atom scattering factors, no anomalous dispersion.

The 10 most intense peaks (2θ from 10° to 90°), in order of rising 2θ:
28.4°, rel. 14
31.3°, rel. 10
36.5°, rel. 100
37.5°, rel. 25
45.7°, rel. 25
46.5°, rel. 11
47.7°, rel. 16
50.4°, rel. 13
70.3°, rel. 9
78.4°, rel. 10

Structure:
abc: 12.550 12.550 3.972
angles: 90.00 90.00 120.00
Sites, in units of the cell vectors:
1 Y 0.000 0.185 0.000
2 Y 0.185 0.000 0.000
3 Y 0.333 0.667 0.500
4 Y 0.667 0.333 0.500
5 Y 0.815 0.815 0.000
6 P 0.000 0.373 0.500
7 P 0.000 0.816 0.500
8 P 0.170 0.693 0.000
9 P 0.184 0.184 0.500
10 P 0.307 0.478 0.000
11 P 0.373 0.000 0.500
12 P 0.478 0.307 0.000
13 P 0.522 0.830 0.000
14 P 0.627 0.627 0.500
15 P 0.693 0.170 0.000
16 P 0.816 0.000 0.500
17 P 0.830 0.522 0.000
18 Ru 0.000 0.000 0.500
19 Ru 0.000 0.555 0.500
20 Ru 0.000 0.717 0.000
21 Ru 0.126 0.491 0.000
22 Ru 0.184 0.807 0.500
23 Ru 0.193 0.377 0.500
24 Ru 0.283 0.283 0.000
25 Ru 0.365 0.874 0.000
26 Ru 0.377 0.193 0.500
27 Ru 0.445 0.445 0.500
28 Ru 0.491 0.126 0.000
29 Ru 0.509 0.635 0.000
30 Ru 0.555 0.000 0.500
31 Ru 0.623 0.816 0.500
32 Ru 0.635 0.509 0.000
33 Ru 0.717 0.000 0.000
34 Ru 0.807 0.184 0.500
35 Ru 0.816 0.623 0.500
36 Ru 0.874 0.365 0.000


Record 8
Diffraction record for ZrPRu. The XRD peak list is calculated, not measured: it uses a structure optimized by DFT (PBE) and a wavelength of 1.5418 Å.
Neutral-atom scattering factors, no anomalous dispersion.

The 10 most intense peaks (2θ from 10° to 90°), in order of rising 2θ:
28.2°, rel. 18
36.3°, rel. 100
39.8°, rel. 64
42.7°, rel. 59
47.4°, rel. 25
49.1°, rel. 15
64.7°, rel. 20
65.6°, rel. 32
78.5°, rel. 19
82.9°, rel. 13

Structure:
abc: 6.469 6.469 3.840
angles: 90.00 90.00 120.00
Sites, in units of the cell vectors:
1 Zr 0.000 0.585 0.000
2 Zr 0.415 0.415 0.000
3 Zr 0.585 0.000 0.000
4 P 0.000 0.000 0.000
5 P 0.333 0.667 0.500
6 P 0.667 0.333 0.500
7 Ru 0.000 0.245 0.500
8 Ru 0.245 0.000 0.500
9 Ru 0.755 0.755 0.500


Record 9
Diffraction record for ZrPRu. The XRD peak list is calculated, not measured: it uses a structure optimized by DFT (PBE) and a wavelength of 1.5418 Å.
Neutral-atom scattering factors, no anomalous dispersion.

The 10 most intense peaks (2θ from 10° to 90°), in order of rising 2θ:
29.4°, rel. 33
36.1°, rel. 49
36.3°, rel. 100
36.9°, rel. 24
38.1°, rel. 82
39.2°, rel. 36
43.5°, rel. 44
43.7°, rel. 41
46.6°, rel. 46
71.5°, rel. 32

Structure:
abc: 6.477 3.897 7.378
angles: 90.00 90.00 90.00
Sites, in units of the cell vectors:
1 Zr 0.022 0.250 0.181
2 Zr 0.478 0.750 0.681
3 Zr 0.522 0.250 0.319
4 Zr 0.978 0.750 0.819
5 P 0.224 0.750 0.379
6 P 0.276 0.250 0.879
7 P 0.724 0.750 0.121
8 P 0.776 0.250 0.621
9 Ru 0.151 0.250 0.560
10 Ru 0.349 0.750 0.060
11 Ru 0.651 0.250 0.940
12 Ru 0.849 0.750 0.440


Record 10
Diffraction record for P4S5. The XRD peak list is calculated, not measured: it uses a structure optimized by DFT (PBE) and a wavelength of 1.5418 Å.
Neutral-atom scattering factors, no anomalous dispersion.

The 10 most intense peaks (2θ from 10° to 90°), in order of rising 2θ:
12.8°, rel. 27
13.9°, rel. 31
14.9°, rel. 42
15.3°, rel. 31
15.9°, rel. 39
16.7°, rel. 100
25.2°, rel. 16
26.9°, rel. 28
27.0°, rel. 44
30.1°, rel. 25

Structure:
abc: 6.921 11.562 7.515
angles: 90.00 112.89 90.00
Sites, in units of the cell vectors:
1 P 0.014 0.000 0.425
2 P 0.036 0.101 0.028
3 P 0.180 0.723 0.895
4 P 0.241 0.479 0.054
5 P 0.759 0.979 0.946
6 P 0.820 0.223 0.105
7 P 0.964 0.601 0.972
8 P 0.986 0.500 0.575
9 S 0.130 0.666 0.611
10 S 0.206 0.394 0.792
11 S 0.234 0.034 0.291
12 S 0.327 0.367 0.263
13 S 0.440 0.624 0.097
14 S 0.560 0.124 0.903
15 S 0.673 0.867 0.737
16 S 0.766 0.534 0.709
17 S 0.794 0.894 0.208
18 S 0.870 0.166 0.389


Record 11
Diffraction record for P4S5. The XRD peak list is calculated, not measured: it uses a structure optimized by DFT (PBE) and a wavelength of 1.5418 Å.
Neutral-atom scattering factors, no anomalous dispersion.

The 10 most intense peaks (2θ from 10° to 90°), in order of rising 2θ:
14.5°, rel. 100
14.7°, rel. 24
15.7°, rel. 65
16.6°, rel. 63
26.3°, rel. 29
26.5°, rel. 61
29.0°, rel. 57
29.6°, rel. 22
50.8°, rel. 30
54.2°, rel. 21

Structure:
abc: 6.792 12.257 7.163
angles: 90.00 117.18 90.00
Sites, in units of the cell vectors:
1 P 0.072 0.155 0.153
2 P 0.072 0.345 0.153
3 P 0.211 0.250 0.641
4 P 0.356 0.750 0.772
5 P 0.644 0.250 0.228
6 P 0.789 0.750 0.359
7 P 0.928 0.655 0.847
8 P 0.928 0.845 0.847
9 S 0.135 0.750 0.442
10 S 0.259 0.620 0.909
11 S 0.259 0.880 0.909
12 S 0.269 0.120 0.476
13 S 0.269 0.380 0.476
14 S 0.731 0.620 0.524
15 S 0.731 0.880 0.524
16 S 0.741 0.120 0.091
17 S 0.741 0.380 0.091
18 S 0.865 0.250 0.558